Simulated X-ray diffraction stick pattern of PaI2Cl for CuKα, from DFT lattice parameters and positions (PBE).

Cell and atoms:
Cell lengths 4.014, 5.476, 9.127 Å; angles 90.69, 102.64, 90.00 degrees
Fractional positions:
Pa  0.000  0.000  0.000
I  0.367  0.993  0.733
I  0.633  0.007  0.267
Cl  0.999  0.500  0.000

Principal peaks in the range 5° ≤ 2θ ≤ 70°, by angle:
9.93 deg, I 832; 16.19 deg, I 1000; 26.81 deg, I 687; 31.37 deg, I 315; 31.57 deg, I 330; 32.71 deg, I 248; 33.64 deg, I 262; 37.40 deg, I 139; 42.63 deg, I 186; 42.93 deg, I 202



Simulated X-ray diffraction stick pattern of Ce4Tm3ScSe8 for CuKα, from DFT lattice parameters and positions (PBE).

Cell and atoms:
Cell lengths 8.289, 8.289, 8.289 Å; angles 58.45, 58.45, 58.45 degrees
Fractional positions:
Ce  0.000  0.000  0.000
Ce  0.000  0.500  0.500
Ce  0.500  0.000  0.500
Ce  0.500  0.500  0.000
Tm  0.000  0.000  0.500
Tm  0.000  0.500  0.000
Tm  0.500  0.000  0.000
Sc  0.500  0.500  0.500
Se  0.244  0.244  0.244
Se  0.248  0.741  0.741
Se  0.259  0.259  0.752
Se  0.259  0.752  0.259
Se  0.741  0.248  0.741
Se  0.741  0.741  0.248
Se  0.752  0.259  0.259
Se  0.756  0.756  0.756

Principal peaks in the range 5° ≤ 2θ ≤ 70°, by angle:
13.35 deg, I 28; 26.03 deg, I 40; 26.88 deg, I 103; 30.89 deg, I 1000; 43.71 deg, I 371; 44.79 deg, I 360; 52.54 deg, I 37; 53.54 deg, I 65; 55.40 deg, I 189; 64.37 deg, I 116



Simulated X-ray diffraction stick pattern of Sm3Er4Rh4 for CuKα, from DFT lattice parameters and positions (PBE).

Cell and atoms:
Cell lengths 9.252, 9.252, 9.252 Å; angles 156.17, 123.09, 62.57 degrees
Fractional positions:
Sm  0.000  0.000  0.000
Sm  0.397  0.897  0.500
Sm  0.603  0.103  0.500
Er  0.022  0.333  0.688
Er  0.355  0.667  0.688
Er  0.645  0.333  0.312
Er  0.978  0.667  0.312
Rh  0.245  0.245  0.000
Rh  0.283  0.500  0.783
Rh  0.717  0.500  0.217
Rh  0.755  0.755  0.000

Principal peaks in the range 5° ≤ 2θ ≤ 70°, by angle:
30.02 deg, I 261; 31.50 deg, I 1000; 34.18 deg, I 726; 34.95 deg, I 524; 36.89 deg, I 209; 39.85 deg, I 347; 40.36 deg, I 244; 47.60 deg, I 274; 60.40 deg, I 217; 62.60 deg, I 249



Simulated X-ray diffraction stick pattern of Ca9MgZn2 for CuKα, from DFT lattice parameters and positions (PBE).

Cell and atoms:
Cell lengths 6.101, 6.101, 12.313 Å; angles 102.16, 102.16, 79.80 degrees
Fractional positions:
Ca  0.000  0.000  0.000
Ca  0.140  0.140  0.354
Ca  0.147  0.579  0.158
Ca  0.279  0.279  0.666
Ca  0.421  0.853  0.842
Ca  0.579  0.147  0.158
Ca  0.721  0.721  0.334
Ca  0.853  0.421  0.842
Ca  0.860  0.860  0.646
Mg  0.500  0.500  0.500
Zn  0.368  0.368  0.933
Zn  0.632  0.632  0.067

Principal peaks in the range 5° ≤ 2θ ≤ 70°, by angle:
7.47 deg, I 1000; 15.51 deg, I 181; 22.72 deg, I 207; 28.00 deg, I 175; 29.83 deg, I 488; 30.85 deg, I 301; 31.29 deg, I 680; 32.21 deg, I 458; 38.96 deg, I 179; 41.35 deg, I 142



Please write out number 1 again, unchanged.
Simulated X-ray diffraction stick pattern of PaI2Cl for CuKα, from DFT lattice parameters and positions (PBE).

Cell and atoms:
Cell lengths 4.014, 5.476, 9.127 Å; angles 90.69, 102.64, 90.00 degrees
Fractional positions:
Pa  0.000  0.000  0.000
I  0.367  0.993  0.733
I  0.633  0.007  0.267
Cl  0.999  0.500  0.000

Principal peaks in the range 5° ≤ 2θ ≤ 70°, by angle:
9.93 deg, I 832; 16.19 deg, I 1000; 26.81 deg, I 687; 31.37 deg, I 315; 31.57 deg, I 330; 32.71 deg, I 248; 33.64 deg, I 262; 37.40 deg, I 139; 42.63 deg, I 186; 42.93 deg, I 202